Theoretical powder X-ray diffraction pattern of NdAl for λ = 1.5418 Å (Cu Kα), from a crystal structure in the Materials Project, relaxed with PBE.
No peak broadening, texture or thermal motion is included.

Largest 8 diffraction maxima, by angle, 5° ≤ 2θ ≤ 70°:
(1 2 0), 2θ = 21.11°, rel. 32; (1 2 1), 2θ = 26.22°, rel. 36; (0 0 2), 2θ = 31.03°, rel. 48; (1 3 1), 2θ = 31.28°, rel. 100; (0 4 1), 2θ = 34.08°, rel. 29; (2 1 1), 2θ = 34.60°, rel. 94; (1 2 2), 2θ = 37.84°, rel. 32; (0 6 2), 2θ = 56.59°, rel. 32

Cell and atoms:
```
data_NdAl
_cell_length_a 5.9889
_cell_length_b 11.8285
_cell_length_c 5.7636
_cell_angle_alpha 90.00
_cell_angle_beta 90.00
_cell_angle_gamma 90.00
_symmetry_space_group_name_H-M 'P b c m'
_symmetry_Int_Tables_number 57
loop_
_symmetry_equiv_pos_as_xyz
'x,y,z'
'-x,-y,-z'
'-x,-y,z+1/2'
'x,y,-z+1/2'
'x,-y+1/2,-z'
'-x,y+1/2,z'
'-x,y+1/2,-z+1/2'
'x,-y+1/2,z+1/2'
loop_
_atom_site_label
_atom_site_type_symbol
_atom_site_fract_x
_atom_site_fract_y
_atom_site_fract_z
Nd1 Nd 0.0951 0.1664 0.2500
Nd2 Nd 0.3360 0.0110 0.7500
Al1 Al 0.1671 0.6015 0.7500
Al2 Al 0.4279 0.7500 0.0000
```


Theoretical powder X-ray diffraction pattern of KBiH10C4O13 for λ = 1.5418 Å (Cu Kα), from a crystal structure in the Materials Project, relaxed with PBE.
No peak broadening, texture or thermal motion is included.

Largest 8 diffraction maxima, by angle, 5° ≤ 2θ ≤ 70°:
(1 1 1), 2θ = 12.57°, rel. 100; (0 2 2), 2θ = 14.85°, rel. 86; (2 2 0), 2θ = 22.73°, rel. 27; (2 0 2), 2θ = 23.16°, rel. 26; (1 3 3), 2θ = 24.59°, rel. 27; (0 4 4), 2θ = 29.94°, rel. 51; (2 4 2), 2θ = 30.85°, rel. 46; (2 6 4), 2θ = 43.29°, rel. 22

Cell and atoms:
```
data_KBiH10C4O13
_cell_length_a 8.7268
_cell_length_b 17.6684
_cell_length_c 16.1859
_cell_angle_alpha 90.00
_cell_angle_beta 90.00
_cell_angle_gamma 90.00
_symmetry_space_group_name_H-M 'F d d 2'
_symmetry_Int_Tables_number 43
_symmetry_space_group_name_Hall 'F 2 -2d'
loop_
_atom_site_label
_atom_site_type_symbol
_atom_site_fract_x
_atom_site_fract_y
_atom_site_fract_z
K1 K 0.0000 0.0000 0.0000
Bi1 Bi 0.0000 0.0000 0.4993
H1 H 0.0321 0.1413 0.1325
H2 H 0.0448 0.3792 0.3545
H3 H 0.0752 0.2348 0.0459
H4 H 0.0843 0.2260 0.9520
H5 H 0.0909 0.4960 0.7082
C1 C 0.0424 0.1282 0.6455
C2 C 0.0448 0.3683 0.8584
O1 O 0.0000 0.0000 0.1720
O2 O 0.0238 0.1784 0.7006
O3 O 0.0255 0.3180 0.8037
O4 O 0.0438 0.2608 0.9940
O5 O 0.0600 0.0888 0.3860
O6 O 0.0635 0.4149 0.1187
O7 O 0.1210 0.4173 0.3693
```